(1)
Calculated powder diffraction line list of NpSe3 for copper Kα, from a DFT-relaxed cell (PBE, the Materials Project).
Neutral-atom scattering factors, no anomalous dispersion.

Main lines, by intensity (15 to 90 degrees two-theta):
2.505 Å, 2θ 35.85, I 100, hkl 1 1 2; 3.796 Å, 2θ 23.43, I 29, hkl 1 0 1; 2.057 Å, 2θ 44.02, I 28, hkl 2 0 0; 1.579 Å, 2θ 58.47, I 24, hkl 2 0 4; 2.462 Å, 2θ 36.50, I 24, hkl 0 0 4; 1.258 Å, 2θ 75.59, I 23, hkl 3 1 2; 1.429 Å, 2θ 65.28, I 18, hkl 1 1 6; 4.923 Å, 2θ 18.02, I 13, hkl 0 0 2; 1.252 Å, 2θ 75.99, I 11, hkl 2 2 4; 2.566 Å, 2θ 34.97, I 11, hkl 1 0 3

Structural model:
Cell lengths 4.115, 4.115, 9.846 Å; angles 90.00, 90.00, 90.00 degrees
Space group I4/mmm (No. 139)
Inequivalent atoms, fractional coordinates:
Np  0.000  0.000  0.000 x2
Se  0.000  0.000  0.500 x2
Se  0.000  0.500  0.250 x4

=====

(2)
Calculated powder diffraction line list of NdBe13 for copper Kα, from a DFT-relaxed cell (PBE, the Materials Project).
Neutral-atom scattering factors, no anomalous dispersion.

Main lines, by intensity (15 to 90 degrees two-theta):
3.642 Å, 2θ 24.44, I 100, hkl 2 2 0; 5.151 Å, 2θ 17.21, I 87, hkl 2 0 0; 2.304 Å, 2θ 39.10, I 73, hkl 4 2 0; 2.103 Å, 2θ 43.01, I 61, hkl 4 2 2; 2.974 Å, 2θ 30.05, I 45, hkl 2 2 2; 1.377 Å, 2θ 68.11, I 28, hkl 6 4 2; 1.629 Å, 2θ 56.49, I 26, hkl 6 2 0; 2.576 Å, 2θ 34.83, I 22, hkl 4 0 0; 1.717 Å, 2θ 53.36, I 22, hkl 4 4 2; 1.249 Å, 2θ 76.20, I 20, hkl 8 2 0

Structural model:
Cell lengths 10.302, 10.302, 10.302 Å; angles 90.00, 90.00, 90.00 degrees
Space group Fm-3c (No. 226)
Inequivalent atoms, fractional coordinates:
Nd  0.250  0.250  0.250 x8
Be  0.000  0.000  0.000 x8
Be  0.000  0.113  0.176 x96

=====

(3)
Calculated powder diffraction line list of RbCuAg2C4N4 for copper Kα, from a DFT-relaxed cell (PBE, the Materials Project).
Neutral-atom scattering factors, no anomalous dispersion.

Main lines, by intensity (15 to 90 degrees two-theta):
3.459 Å, 2θ 25.75, I 100, hkl 1 2 0; 3.810 Å, 2θ 23.35, I 56, hkl 2 0 0; 3.474 Å, 2θ 25.64, I 38, hkl 0 1 2; 2.948 Å, 2θ 30.32, I 37, hkl 1 1 2; 2.866 Å, 2θ 31.21, I 34, hkl 2 1 -2; 3.428 Å, 2θ 25.99, I 27, hkl 1 1 -2; 2.125 Å, 2θ 42.54, I 24, hkl 3 2 0; 2.746 Å, 2θ 32.60, I 19, hkl 0 2 2; 3.286 Å, 2θ 27.14, I 19, hkl 1 2 -1; 1.772 Å, 2θ 51.59, I 13, hkl 1 2 -4

Structural model:
Cell lengths 7.812, 7.766, 7.969 Å; angles 90.00, 102.82, 90.00 degrees
Space group P2/c (No. 13)
Inequivalent atoms, fractional coordinates:
Rb  0.000  0.246  0.250 x2
Cu  0.000  0.256  0.750 x2
Ag  0.500  0.000  0.000 x2
Ag  0.500  0.436  0.250 x2
C  0.284  0.076  0.590 x4
C  0.286  0.418  0.045 x4
N  0.163  0.125  0.642 x4
N  0.165  0.388  0.931 x4

=====

(4)
Calculated powder diffraction line list of Nd5Ge3 for copper Kα, from a DFT-relaxed cell (PBE, the Materials Project).
Neutral-atom scattering factors, no anomalous dispersion.

Main lines, by intensity (15 to 90 degrees two-theta):
2.692 Å, 2θ 33.29, I 100, hkl 3 0 0; 2.033 Å, 2θ 44.57, I 89, hkl 3 0 2; 3.102 Å, 2θ 28.78, I 59, hkl 0 0 2; 1.344 Å, 2θ 70.01, I 23, hkl 3 0 4; 2.739 Å, 2θ 32.70, I 22, hkl 2 1 1; 4.038 Å, 2θ 22.01, I 19, hkl 2 0 0; 1.389 Å, 2θ 67.40, I 17, hkl 3 3 2; 3.727 Å, 2θ 23.87, I 16, hkl 1 1 1; 3.052 Å, 2θ 29.26, I 15, hkl 2 1 0; 1.554 Å, 2θ 59.48, I 13, hkl 3 3 0

Structural model:
Cell lengths 9.3245, 9.3245, 6.2040 Å; angles 90.00, 90.00, 120.00 degrees
Space group P6_3/mcm (No. 193)
Inequivalent atoms, fractional coordinates:
Nd  0.0000  0.2928  0.2500 x6
Nd  0.3333  0.6667  0.2500 x4
Ge  0.0000  0.3495  0.7500 x6

=====

(5)
Calculated powder diffraction line list of PrAl2Au2 for copper Kα, from a DFT-relaxed cell (PBE, the Materials Project).
Neutral-atom scattering factors, no anomalous dispersion.

Main lines, by intensity (15 to 90 degrees two-theta):
2.705 Å, 2θ 33.12, I 100, hkl 1 1 2; 3.032 Å, 2θ 29.46, I 78, hkl 1 1 1; 2.242 Å, 2θ 40.22, I 73, hkl 2 0 0; 2.736 Å, 2θ 32.73, I 60, hkl 1 0 3; 1.881 Å, 2θ 48.39, I 47, hkl 1 0 5; 3.391 Å, 2θ 26.28, I 37, hkl 1 0 2; 1.734 Å, 2θ 52.78, I 32, hkl 2 1 3; 1.441 Å, 2θ 64.68, I 30, hkl 2 1 5; 3.454 Å, 2θ 25.80, I 28, hkl 0 0 3; 2.006 Å, 2θ 45.20, I 28, hkl 1 1 4

Structural model:
Cell lengths 4.485, 4.485, 10.361 Å; angles 90.00, 90.00, 90.00 degrees
Space group P4/nmm (No. 129, origin choice 2)
Inequivalent atoms, fractional coordinates:
Pr  0.250  0.250  0.249 x2
Al  0.250  0.250  0.872 x2
Al  0.250  0.750  0.500 x2
Au  0.250  0.250  0.629 x2
Au  0.250  0.750  0.000 x2

=====

(6)
Calculated powder diffraction line list of SrCaHfZrO6 for copper Kα, from a DFT-relaxed cell (PBE, the Materials Project).
Neutral-atom scattering factors, no anomalous dispersion.

Main lines, by intensity (15 to 90 degrees two-theta):
2.936 Å, 2θ 30.45, I 100, hkl 2 2 0; 1.695 Å, 2θ 54.11, I 40, hkl 4 2 2; 2.076 Å, 2θ 43.60, I 34, hkl 4 0 0; 4.152 Å, 2θ 21.40, I 27, hkl 2 0 0; 1.110 Å, 2θ 88.02, I 21, hkl 6 4 2; 1.468 Å, 2θ 63.37, I 20, hkl 4 4 0; 1.313 Å, 2θ 71.92, I 17, hkl 6 2 0; 4.794 Å, 2θ 18.51, I 14, hkl 1 1 1; 1.857 Å, 2θ 49.07, I 11, hkl 4 2 0; 2.503 Å, 2θ 35.87, I 9, hkl 3 1 1

Structural model:
Cell lengths 8.303, 8.303, 8.303 Å; angles 90.00, 90.00, 90.00 degrees
Space group F-43m (No. 216)
Inequivalent atoms, fractional coordinates:
Sr  0.000  0.000  0.000 x4
Ca  0.000  0.000  0.500 x4
Hf  0.250  0.250  0.750 x4
Zr  0.250  0.250  0.250 x4
O  0.002  0.250  0.750 x24

=====

(7)
Calculated powder diffraction line list of Tb2MgSe4 for copper Kα, from a DFT-relaxed cell (PBE, the Materials Project).
Neutral-atom scattering factors, no anomalous dispersion.

Main lines, by intensity (15 to 90 degrees two-theta):
3.442 Å, 2θ 25.89, I 100, hkl 2 1 0; 2.744 Å, 2θ 32.63, I 88, hkl 3 1 2; 3.135 Å, 2θ 28.47, I 65, hkl 2 0 4; 2.911 Å, 2θ 30.72, I 56, hkl 3 1 1; 3.856 Å, 2θ 23.07, I 49, hkl 2 0 3; 2.249 Å, 2θ 40.08, I 44, hkl 4 1 3; 2.017 Å, 2θ 44.94, I 41, hkl 0 2 0; 2.023 Å, 2θ 44.81, I 39, hkl 1 1 6; 2.293 Å, 2θ 39.30, I 38, hkl 1 1 5; 2.517 Å, 2θ 35.67, I 31, hkl 3 1 3

Structural model:
Cell lengths 13.197, 4.034, 14.253 Å; angles 90.00, 90.00, 90.00 degrees
Space group Pnma (No. 62)
Inequivalent atoms, fractional coordinates:
Tb  0.117  0.250  0.073 x4
Tb  0.140  0.250  0.703 x4
Mg  0.109  0.750  0.456 x4
Se  0.006  0.750  0.617 x4
Se  0.028  0.250  0.882 x4
Se  0.223  0.250  0.246 x4
Se  0.237  0.250  0.514 x4